# Li2AlCd
Theoretical PXRD pattern, λ = 1.5418 Å (Cu Kα). Input: DFT lattice parameters and positions (PBE).
Lines closer than 0.1° are merged.

Main lines, by angle (2θ = 5–70°):
two_theta  d_spacing  I_rel
9.4  9.402  100
18.9  4.701  55
28.5  3.134  9
34.8  2.577  16
35.3  2.546  34
37.0  2.430  39
38.3  2.351  24
43.4  2.086  25
47.7  1.907  14
65.6  1.424  10

Cell and atoms:
a b c (Å): 9.559 9.559 9.559
angles (deg): 17.99 17.99 17.99
Fractional coordinates of all 4 atoms:
Li1 0.246 0.246 0.246
Li2 0.754 0.754 0.754
Al1 0.500 0.500 0.500
Cd1 0.000 0.000 0.000

=====

# PrScTc
Theoretical PXRD pattern, λ = 1.5418 Å (Cu Kα). Input: DFT lattice parameters and positions (PBE).
Lines closer than 0.1° are merged.

Main lines, by angle (2θ = 5–70°):
two_theta  d_spacing  I_rel
19.3  4.589  34
26.8  3.323  69
28.6  3.117  76
31.0  2.883  33
32.8  2.727  38
35.2  2.549  37
36.4  2.466  43
39.5  2.283  33
40.4  2.235  100
56.9  1.619  36

Cell and atoms:
a b c (Å): 7.094 7.094 7.356
angles (deg): 90.00 90.00 124.13
Fractional coordinates of all 12 atoms:
Pr1 0.195 0.805 0.889
Pr2 0.305 0.695 0.389
Pr3 0.695 0.305 0.611
Pr4 0.805 0.195 0.111
Sc1 0.211 0.289 0.750
Sc2 0.289 0.211 0.250
Sc3 0.711 0.789 0.750
Sc4 0.789 0.711 0.250
Tc1 0.095 0.905 0.527
Tc2 0.405 0.595 0.027
Tc3 0.595 0.405 0.973
Tc4 0.905 0.095 0.473

=====

# AcSmHg3
Theoretical PXRD pattern, λ = 1.5418 Å (Cu Kα). Input: DFT lattice parameters and positions (PBE).
Lines closer than 0.1° are merged.

Main lines, by angle (2θ = 5–70°):
two_theta  d_spacing  I_rel
30.5  2.927  100
31.3  2.857  35
34.9  2.569  68
35.5  2.525  41
40.1  2.249  20
47.2  1.926  21
48.1  1.892  22
60.1  1.541  29
60.5  1.531  18
60.8  1.524  20

Cell and atoms:
a b c (Å): 15.043 15.043 5.051
angles (deg): 90.00 90.00 165.29
Fractional coordinates of all 10 atoms:
Ac1 0.076 0.924 0.750
Ac2 0.924 0.076 0.250
Sm1 0.209 0.791 0.250
Sm2 0.791 0.209 0.750
Hg1 0.316 0.684 0.250
Hg2 0.376 0.624 0.750
Hg3 0.475 0.525 0.750
Hg4 0.525 0.475 0.250
Hg5 0.624 0.376 0.250
Hg6 0.684 0.316 0.750